[1]
Calculated PXRD pattern of TiAgHg2 for a wavelength of 1.5418 Å, from the GGA-PBE geometry in the Materials Project.
Kinematic intensities with the Lorentz-polarization factor, no thermal factor.

Largest 10 diffraction maxima, low angle first, 15° ≤ 2θ ≤ 90°:
| 2theta | I (rel.) |
| --- | --- |
| 21.3 | 16 |
| 28.7 | 16 |
| 36.1 | 100 |
| 41.1 | 35 |
| 43.5 | 15 |
| 59.5 | 12 |
| 61.4 | 21 |
| 71.6 | 27 |
| 75.0 | 12 |
| 76.5 | 11 |

Atomic structure:
abc: 4.3932 4.3932 4.1628
angles: 90.00 90.00 90.00
Positions (direct):
Ti (0.0000, 0.0000, 0.0000)
Ag (0.5000, 0.5000, 0.0000)
Hg (0.0000, 0.5000, 0.5000)
Hg (0.5000, 0.0000, 0.5000)

[2]
Calculated PXRD pattern of YAgHg2 for a wavelength of 1.5418 Å, from the GGA-PBE geometry in the Materials Project.
Kinematic intensities with the Lorentz-polarization factor, no thermal factor.

Largest 9 diffraction maxima, low angle first, 15° ≤ 2θ ≤ 90°:
| 2theta | I (rel.) |
| --- | --- |
| 25.0 | 13 |
| 35.6 | 100 |
| 44.0 | 4 |
| 51.3 | 18 |
| 57.9 | 6 |
| 64.0 | 36 |
| 75.5 | 11 |
| 81.0 | 3 |
| 86.4 | 17 |

Atomic structure:
abc: 5.0378 5.0378 5.0378
angles: 60.00 60.00 60.00
Positions (direct):
Y (0.0000, 0.0000, 0.0000)
Ag (0.5000, 0.5000, 0.5000)
Hg (0.2500, 0.2500, 0.2500)
Hg (0.7500, 0.7500, 0.7500)

[3]
Calculated PXRD pattern of HoAg for a wavelength of 1.5418 Å, from the GGA-PBE geometry in the Materials Project.
Kinematic intensities with the Lorentz-polarization factor, no thermal factor.

Largest 10 diffraction maxima, low angle first, 15° ≤ 2θ ≤ 90°:
| 2theta | I (rel.) |
| --- | --- |
| 24.5 | 4 |
| 35.0 | 100 |
| 43.2 | 1 |
| 50.3 | 18 |
| 56.7 | 2 |
| 62.7 | 36 |
| 73.9 | 11 |
| 79.2 | 1 |
| 84.4 | 16 |
| 89.6 | 1 |

Atomic structure:
abc: 3.6282 3.6282 3.6282
angles: 90.00 90.00 90.00
Positions (direct):
Ho (0.0000, 0.0000, 0.0000)
Ag (0.5000, 0.5000, 0.5000)

[4]
Calculated PXRD pattern of HoInAg2 for a wavelength of 1.5418 Å, from the GGA-PBE geometry in the Materials Project.
Kinematic intensities with the Lorentz-polarization factor, no thermal factor.

Largest 9 diffraction maxima, low angle first, 15° ≤ 2θ ≤ 90°:
| 2theta | I (rel.) |
| --- | --- |
| 22.0 | 2 |
| 25.5 | 1 |
| 36.3 | 100 |
| 42.9 | 1 |
| 52.3 | 17 |
| 59.1 | 1 |
| 65.4 | 34 |
| 77.2 | 11 |
| 88.4 | 16 |

Atomic structure:
abc: 4.9438 4.9438 4.9438
angles: 60.00 60.00 60.00
Positions (direct):
Ho (0.0000, 0.0000, 0.0000)
In (0.5000, 0.5000, 0.5000)
Ag (0.2500, 0.2500, 0.2500)
Ag (0.7500, 0.7500, 0.7500)

[5]
Calculated PXRD pattern of Ho2AgIr for a wavelength of 1.5418 Å, from the GGA-PBE geometry in the Materials Project.
Kinematic intensities with the Lorentz-polarization factor, no thermal factor.

Largest 10 diffraction maxima, low angle first, 15° ≤ 2θ ≤ 90°:
| 2theta | I (rel.) |
| --- | --- |
| 22.0 | 3 |
| 36.3 | 100 |
| 42.8 | 2 |
| 52.2 | 18 |
| 57.3 | 1 |
| 65.3 | 36 |
| 69.8 | 1 |
| 77.0 | 11 |
| 81.3 | 1 |
| 88.2 | 16 |

Atomic structure:
abc: 4.9530 4.9530 4.9530
angles: 60.00 60.00 60.00
Positions (direct):
Ho (0.2500, 0.2500, 0.2500)
Ho (0.7500, 0.7500, 0.7500)
Ag (0.0000, 0.0000, 0.0000)
Ir (0.5000, 0.5000, 0.5000)

[6]
Calculated PXRD pattern of HoMgAg for a wavelength of 1.5418 Å, from the GGA-PBE geometry in the Materials Project.
Kinematic intensities with the Lorentz-polarization factor, no thermal factor.

Largest 10 diffraction maxima, low angle first, 15° ≤ 2θ ≤ 90°:
| 2theta | I (rel.) |
| --- | --- |
| 23.0 | 39 |
| 26.6 | 25 |
| 31.8 | 91 |
| 34.6 | 100 |
| 35.4 | 25 |
| 40.4 | 33 |
| 41.9 | 27 |
| 44.2 | 22 |
| 54.2 | 26 |
| 64.7 | 26 |

Atomic structure:
abc: 7.7410 7.7410 4.0965
angles: 90.00 90.00 120.00
Positions (direct):
Ho (0.0000, 0.5896, 0.0000)
Ho (0.4104, 0.4104, 0.0000)
Ho (0.5896, 0.0000, 0.0000)
Mg (0.0000, 0.2485, 0.5000)
Mg (0.2485, 0.0000, 0.5000)
Mg (0.7515, 0.7515, 0.5000)
Ag (0.0000, 0.0000, 0.0000)
Ag (0.3333, 0.6667, 0.5000)
Ag (0.6667, 0.3333, 0.5000)

[7]
Calculated PXRD pattern of HoMgAg2 for a wavelength of 1.5418 Å, from the GGA-PBE geometry in the Materials Project.
Kinematic intensities with the Lorentz-polarization factor, no thermal factor.

Largest 10 diffraction maxima, low angle first, 15° ≤ 2θ ≤ 90°:
| 2theta | I (rel.) |
| --- | --- |
| 22.0 | 26 |
| 36.4 | 100 |
| 42.9 | 14 |
| 52.4 | 17 |
| 57.5 | 6 |
| 65.5 | 34 |
| 70.0 | 4 |
| 77.3 | 11 |
| 81.5 | 4 |
| 88.5 | 15 |

Atomic structure:
abc: 4.9387 4.9387 4.9387
angles: 60.00 60.00 60.00
Positions (direct):
Ho (0.0000, 0.0000, 0.0000)
Mg (0.5000, 0.5000, 0.5000)
Ag (0.2500, 0.2500, 0.2500)
Ag (0.7500, 0.7500, 0.7500)

[8]
Calculated PXRD pattern of HoTa5Ag2O15 for a wavelength of 1.5418 Å, from the GGA-PBE geometry in the Materials Project.
Kinematic intensities with the Lorentz-polarization factor, no thermal factor.

Largest 10 diffraction maxima, low angle first, 15° ≤ 2θ ≤ 90°:
| 2theta | I (rel.) |
| --- | --- |
| 22.7 | 29 |
| 25.5 | 40 |
| 27.8 | 53 |
| 29.3 | 72 |
| 30.4 | 24 |
| 31.8 | 44 |
| 32.1 | 100 |
| 34.4 | 31 |
| 46.4 | 28 |
| 56.8 | 42 |

Atomic structure:
abc: 12.5796 12.5796 3.9157
angles: 90.00 90.00 90.00
Positions (direct):
Ho (0.0000, 0.0000, 0.0000)
Ho (0.5000, 0.5000, 0.0000)
Ta (0.0000, 0.5000, 0.5000)
Ta (0.0785, 0.2109, 0.5000)
Ta (0.2109, 0.9215, 0.5000)
Ta (0.2891, 0.4215, 0.5000)
Ta (0.4215, 0.7109, 0.5000)
Ta (0.5000, 0.0000, 0.5000)
Ta (0.5785, 0.2891, 0.5000)
Ta (0.7109, 0.5785, 0.5000)
Ta (0.7891, 0.0785, 0.5000)
Ta (0.9215, 0.7891, 0.5000)
Ag (0.1722, 0.6722, 0.0000)
Ag (0.3278, 0.1722, 0.0000)
Ag (0.6722, 0.8278, 0.0000)
Ag (0.8278, 0.3278, 0.0000)
O (0.0000, 0.5000, 0.0000)
O (0.0023, 0.6590, 0.5000)
O (0.0567, 0.8710, 0.5000)
O (0.0800, 0.1900, 0.0000)
O (0.1290, 0.0567, 0.5000)
O (0.1590, 0.5023, 0.5000)
O (0.1900, 0.9200, 0.0000)
O (0.2257, 0.2743, 0.5000)
O (0.2743, 0.7743, 0.5000)
O (0.3100, 0.4200, 0.0000)
O (0.3410, 0.0023, 0.5000)
O (0.3710, 0.5567, 0.5000)
O (0.4200, 0.6900, 0.0000)
O (0.4433, 0.3710, 0.5000)
O (0.4977, 0.1590, 0.5000)
O (0.5000, 0.0000, 0.0000)
O (0.5023, 0.8410, 0.5000)
O (0.5567, 0.6290, 0.5000)
O (0.5800, 0.3100, 0.0000)
O (0.6290, 0.4433, 0.5000)
O (0.6590, 0.9977, 0.5000)
O (0.6900, 0.5800, 0.0000)
O (0.7257, 0.2257, 0.5000)
O (0.7743, 0.7257, 0.5000)
O (0.8100, 0.0800, 0.0000)
O (0.8410, 0.4977, 0.5000)
O (0.8710, 0.9433, 0.5000)
O (0.9200, 0.8100, 0.0000)
O (0.9433, 0.1290, 0.5000)
O (0.9977, 0.3410, 0.5000)

[9]
Calculated PXRD pattern of HoAgPb for a wavelength of 1.5418 Å, from the GGA-PBE geometry in the Materials Project.
Kinematic intensities with the Lorentz-polarization factor, no thermal factor.

Largest 10 diffraction maxima, low angle first, 15° ≤ 2θ ≤ 90°:
| 2theta | I (rel.) |
| --- | --- |
| 24.4 | 28 |
| 32.1 | 100 |
| 37.3 | 88 |
| 42.1 | 28 |
| 50.0 | 29 |
| 62.8 | 16 |
| 64.0 | 28 |
| 67.3 | 16 |
| 70.6 | 12 |
| 88.4 | 12 |

Atomic structure:
abc: 4.8184 4.8184 7.4998
angles: 90.00 90.00 120.00
Positions (direct):
Ho (0.0000, 0.0000, 0.0000)
Ho (0.0000, 0.0000, 0.5000)
Ag (0.3333, 0.6667, 0.1812)
Ag (0.6667, 0.3333, 0.6812)
Pb (0.3333, 0.6667, 0.7788)
Pb (0.6667, 0.3333, 0.2788)

[10]
Calculated PXRD pattern of HoAgS2 for a wavelength of 1.5418 Å, from the GGA-PBE geometry in the Materials Project.
Kinematic intensities with the Lorentz-polarization factor, no thermal factor.

Largest 10 diffraction maxima, low angle first, 15° ≤ 2θ ≤ 90°:
| 2theta | I (rel.) |
| --- | --- |
| 17.9 | 12 |
| 27.4 | 100 |
| 28.6 | 49 |
| 33.2 | 78 |
| 44.3 | 56 |
| 47.6 | 27 |
| 49.9 | 16 |
| 55.8 | 23 |
| 56.5 | 26 |
| 71.4 | 14 |

Atomic structure:
abc: 7.6331 7.6390 12.4963
angles: 90.00 90.07 90.00
Positions (direct):
Ho (0.0019, 0.0000, 0.2466)
Ho (0.2454, 0.2448, 0.5038)
Ho (0.2542, 0.7473, 0.0042)
Ho (0.4981, 0.9921, 0.7463)
Ho (0.5019, 0.4921, 0.2537)
Ho (0.7458, 0.2473, 0.9958)
Ho (0.7546, 0.7448, 0.4962)
Ho (0.9981, 0.5000, 0.7534)
Ag (0.0082, 0.9834, 0.7385)
Ag (0.2516, 0.7432, 0.5211)
Ag (0.2564, 0.2365, 0.0228)
Ag (0.4999, 0.4904, 0.7696)
Ag (0.5001, 0.9904, 0.2304)
Ag (0.7436, 0.7365, 0.9772)
Ag (0.7484, 0.2432, 0.4789)
Ag (0.9918, 0.4834, 0.2615)
S (0.0173, 0.0140, 0.0253)
S (0.0200, 0.5146, 0.5351)
S (0.2266, 0.2232, 0.7242)
S (0.2300, 0.2664, 0.2849)
S (0.2695, 0.7636, 0.2241)
S (0.2730, 0.7207, 0.7853)
S (0.4793, 0.4754, 0.0354)
S (0.4808, 0.9755, 0.5260)
S (0.5192, 0.4755, 0.4740)
S (0.5207, 0.9754, 0.9646)
S (0.7270, 0.2207, 0.2147)
S (0.7305, 0.2636, 0.7759)
S (0.7700, 0.7664, 0.7151)
S (0.7734, 0.7232, 0.2758)
S (0.9800, 0.0146, 0.4649)
S (0.9827, 0.5140, 0.9747)

[11]
Calculated PXRD pattern of HoAgS2 for a wavelength of 1.5418 Å, from the GGA-PBE geometry in the Materials Project.
Kinematic intensities with the Lorentz-polarization factor, no thermal factor.

Largest 10 diffraction maxima, low angle first, 15° ≤ 2θ ≤ 90°:
| 2theta | I (rel.) |
| --- | --- |
| 17.9 | 22 |
| 18.2 | 16 |
| 27.3 | 91 |
| 28.2 | 25 |
| 33.3 | 100 |
| 39.4 | 43 |
| 44.2 | 28 |
| 47.8 | 33 |
| 52.5 | 36 |
| 55.9 | 28 |

Atomic structure:
abc: 7.6173 7.6173 12.6455
angles: 90.00 90.00 90.00
Positions (direct):
Ho (0.0033, 0.2533, 0.1287)
Ho (0.2467, 0.5033, 0.3787)
Ho (0.2533, 0.0033, 0.8713)
Ho (0.4967, 0.7533, 0.1213)
Ho (0.5033, 0.2467, 0.6213)
Ho (0.7467, 0.9967, 0.3713)
Ho (0.7533, 0.4967, 0.8787)
Ho (0.9967, 0.7467, 0.6287)
Ag (0.0139, 0.2617, 0.6936)
Ag (0.2383, 0.5139, 0.9436)
Ag (0.2617, 0.0139, 0.3064)
Ag (0.4861, 0.7617, 0.5564)
Ag (0.5139, 0.2383, 0.0564)
Ag (0.7383, 0.9861, 0.8064)
Ag (0.7617, 0.4861, 0.4436)
Ag (0.9861, 0.7383, 0.1936)
S (0.0172, 0.2284, 0.3451)
S (0.0275, 0.2724, 0.9109)
S (0.2284, 0.0172, 0.6549)
S (0.2276, 0.5275, 0.1609)
S (0.2724, 0.0275, 0.0891)
S (0.2716, 0.5172, 0.5951)
S (0.4725, 0.7724, 0.3391)
S (0.4828, 0.7284, 0.9049)
S (0.5172, 0.2716, 0.4049)
S (0.5275, 0.2276, 0.8391)
S (0.7284, 0.4828, 0.0951)
S (0.7276, 0.9725, 0.5891)
S (0.7724, 0.4725, 0.6609)
S (0.7716, 0.9828, 0.1549)
S (0.9725, 0.7276, 0.4109)
S (0.9828, 0.7716, 0.8451)

[12]
Calculated PXRD pattern of HoAgSn for a wavelength of 1.5418 Å, from the GGA-PBE geometry in the Materials Project.
Kinematic intensities with the Lorentz-polarization factor, no thermal factor.

Largest 10 diffraction maxima, low angle first, 15° ≤ 2θ ≤ 90°:
| 2theta | I (rel.) |
| --- | --- |
| 33.5 | 100 |
| 37.2 | 76 |
| 51.0 | 31 |
| 52.8 | 9 |
| 64.8 | 30 |
| 66.3 | 28 |
| 67.1 | 13 |
| 79.3 | 9 |
| 87.5 | 7 |
| 88.9 | 13 |

Atomic structure:
abc: 4.8335 4.8335 3.4695
angles: 90.00 90.00 120.00
Positions (direct):
Ho (0.0000, 0.0000, 0.0000)
Ag (0.6667, 0.3333, 0.5000)
Sn (0.3333, 0.6667, 0.5000)

Repeat the second record exactly.
Calculated PXRD pattern of YAgHg2 for a wavelength of 1.5418 Å, from the GGA-PBE geometry in the Materials Project.
Kinematic intensities with the Lorentz-polarization factor, no thermal factor.

Largest 9 diffraction maxima, low angle first, 15° ≤ 2θ ≤ 90°:
| 2theta | I (rel.) |
| --- | --- |
| 25.0 | 13 |
| 35.6 | 100 |
| 44.0 | 4 |
| 51.3 | 18 |
| 57.9 | 6 |
| 64.0 | 36 |
| 75.5 | 11 |
| 81.0 | 3 |
| 86.4 | 17 |

Atomic structure:
abc: 5.0378 5.0378 5.0378
angles: 60.00 60.00 60.00
Positions (direct):
Y (0.0000, 0.0000, 0.0000)
Ag (0.5000, 0.5000, 0.5000)
Hg (0.2500, 0.2500, 0.2500)
Hg (0.7500, 0.7500, 0.7500)

What did the first record say?
Calculated PXRD pattern of TiAgHg2 for a wavelength of 1.5418 Å, from the GGA-PBE geometry in the Materials Project.
Kinematic intensities with the Lorentz-polarization factor, no thermal factor.

Largest 10 diffraction maxima, low angle first, 15° ≤ 2θ ≤ 90°:
| 2theta | I (rel.) |
| --- | --- |
| 21.3 | 16 |
| 28.7 | 16 |
| 36.1 | 100 |
| 41.1 | 35 |
| 43.5 | 15 |
| 59.5 | 12 |
| 61.4 | 21 |
| 71.6 | 27 |
| 75.0 | 12 |
| 76.5 | 11 |

Atomic structure:
abc: 4.3932 4.3932 4.1628
angles: 90.00 90.00 90.00
Positions (direct):
Ti (0.0000, 0.0000, 0.0000)
Ag (0.5000, 0.5000, 0.0000)
Hg (0.0000, 0.5000, 0.5000)
Hg (0.5000, 0.0000, 0.5000)

Please write out number 10 again, unchanged.
Calculated PXRD pattern of HoAgS2 for a wavelength of 1.5418 Å, from the GGA-PBE geometry in the Materials Project.
Kinematic intensities with the Lorentz-polarization factor, no thermal factor.

Largest 10 diffraction maxima, low angle first, 15° ≤ 2θ ≤ 90°:
| 2theta | I (rel.) |
| --- | --- |
| 17.9 | 12 |
| 27.4 | 100 |
| 28.6 | 49 |
| 33.2 | 78 |
| 44.3 | 56 |
| 47.6 | 27 |
| 49.9 | 16 |
| 55.8 | 23 |
| 56.5 | 26 |
| 71.4 | 14 |

Atomic structure:
abc: 7.6331 7.6390 12.4963
angles: 90.00 90.07 90.00
Positions (direct):
Ho (0.0019, 0.0000, 0.2466)
Ho (0.2454, 0.2448, 0.5038)
Ho (0.2542, 0.7473, 0.0042)
Ho (0.4981, 0.9921, 0.7463)
Ho (0.5019, 0.4921, 0.2537)
Ho (0.7458, 0.2473, 0.9958)
Ho (0.7546, 0.7448, 0.4962)
Ho (0.9981, 0.5000, 0.7534)
Ag (0.0082, 0.9834, 0.7385)
Ag (0.2516, 0.7432, 0.5211)
Ag (0.2564, 0.2365, 0.0228)
Ag (0.4999, 0.4904, 0.7696)
Ag (0.5001, 0.9904, 0.2304)
Ag (0.7436, 0.7365, 0.9772)
Ag (0.7484, 0.2432, 0.4789)
Ag (0.9918, 0.4834, 0.2615)
S (0.0173, 0.0140, 0.0253)
S (0.0200, 0.5146, 0.5351)
S (0.2266, 0.2232, 0.7242)
S (0.2300, 0.2664, 0.2849)
S (0.2695, 0.7636, 0.2241)
S (0.2730, 0.7207, 0.7853)
S (0.4793, 0.4754, 0.0354)
S (0.4808, 0.9755, 0.5260)
S (0.5192, 0.4755, 0.4740)
S (0.5207, 0.9754, 0.9646)
S (0.7270, 0.2207, 0.2147)
S (0.7305, 0.2636, 0.7759)
S (0.7700, 0.7664, 0.7151)
S (0.7734, 0.7232, 0.2758)
S (0.9800, 0.0146, 0.4649)
S (0.9827, 0.5140, 0.9747)